# Ce4Sb6Ru7
Theoretical X-ray diffraction stick pattern, λ = 1.5418 Å (Cu Kα). Input: DFT lattice parameters and positions (PBE).

Peak list (10 most intense, 15 to 90 degrees two-theta, by angle)
| two_theta | Rel. int. | h k l |
| --- | --- | --- |
| 28.7 | 14 | 2 2 0 |
| 32.1 | 11 | 3 1 0 |
| 35.3 | 100 | 2 2 2 |
| 38.2 | 15 | 3 2 1 |
| 41.0 | 61 | 4 0 0 |
| 43.6 | 18 | 3 3 0 |
| 48.5 | 18 | 3 3 2 |
| 59.4 | 29 | 4 4 0 |
| 71.0 | 23 | 6 2 2 |
| 80.1 | 11 | 6 3 3 |

Cell and atoms:
```
data_Ce4Sb6Ru7
_chemical_formula_sum 'Ce8 Sb12 Ru14'
_cell_length_a 8.8067
_cell_length_b 8.8067
_cell_length_c 8.8067
_cell_angle_alpha 90.00
_cell_angle_beta 90.00
_cell_angle_gamma 90.00
_symmetry_space_group_name_H-M 'I m -3 m'
_symmetry_Int_Tables_number 229
_symmetry_space_group_name_Hall '-I 4 2 3'
loop_
_atom_site_label
_atom_site_type_symbol
_atom_site_fract_x
_atom_site_fract_y
_atom_site_fract_z
_atom_site_occupancy
Ce1 Ce 0.2500 0.2500 0.2500 1
Sb1 Sb 0.0000 0.0000 0.3149 1
Ru1 Ru 0.0000 0.0000 0.0000 1
Ru2 Ru 0.0000 0.2500 0.5000 1
```